(1)
This entry pairs a crystal structure of Ni4Ge with its theoretical powder X-ray diffraction pattern. Radiation: Cu Ka. Structure: a cell relaxed with GGA-PBE.
Kinematic intensities with the Lorentz-polarization factor, no thermal factor.

Peak list (6 most intense, 15 to 90 degrees two-theta, sorted by position)
(hkl), 2θ (°), d (Å), I/Imax
0 2 0, 26.15, 3.407, 65
0 2 1, 32.28, 2.773, 69
2 0 0, 45.07, 2.012, 83
1 1 -2, 46.13, 1.968, 100
1 1 2, 46.24, 1.963, 99
1 3 1, 49.91, 1.827, 97

Structure:
```
data_Ni4Ge
_cell_length_a 4.0231
_cell_length_b 6.8144
_cell_length_c 4.7737
_cell_angle_alpha 90.00
_cell_angle_beta 90.17
_cell_angle_gamma 90.00
_symmetry_space_group_name_H-M 'C 1 2/m 1'
_symmetry_Int_Tables_number 12
_symmetry_space_group_name_Hall '-C 2y'
loop_
_atom_site_label
_atom_site_fract_x
_atom_site_fract_y
_atom_site_fract_z
Ni1 0.9997 0.0000 0.2418
Ni2 0.0000 0.3327 0.0000
Ge1 0.0000 0.5000 0.5000
```

(2)
This entry pairs a crystal structure of NpNi6Ge6 with its theoretical powder X-ray diffraction pattern. Radiation: Cu Ka. Structure: a cell relaxed with GGA-PBE.
Kinematic intensities with the Lorentz-polarization factor, no thermal factor.

Peak list (6 most intense, 15 to 90 degrees two-theta, sorted by position)
(hkl), 2θ (°), d (Å), I/Imax
2 0 0, 34.75, 2.582, 23
1 0 3, 34.85, 2.574, 45
0 3 1, 35.20, 2.549, 23
2 0 2, 40.38, 2.234, 38
2 2 0, 41.72, 2.165, 100
2 6 0, 81.41, 1.182, 24

Structure:
```
data_NpNi6Ge6
_cell_length_a 5.1634
_cell_length_b 7.9814
_cell_length_c 8.9095
_cell_angle_alpha 90.00
_cell_angle_beta 90.00
_cell_angle_gamma 90.00
_symmetry_space_group_name_H-M 'I m m m'
_symmetry_Int_Tables_number 71
_symmetry_space_group_name_Hall '-I 2 2'
loop_
_atom_site_label
_atom_site_fract_x
_atom_site_fract_y
_atom_site_fract_z
Np1 0.0000 0.0000 0.0000
Ni1 0.0000 0.2418 0.5000
Ni2 0.2500 0.2500 0.2500
Ge1 0.0000 0.0000 0.3341
Ge2 0.0000 0.3465 0.0000
Ge3 0.0000 0.5000 0.3341
```

(3)
This entry pairs a crystal structure of NpNi5Ge3 with its theoretical powder X-ray diffraction pattern. Radiation: Cu Ka. Structure: a cell relaxed with GGA-PBE.
Kinematic intensities with the Lorentz-polarization factor, no thermal factor.

Peak list (6 most intense, 15 to 90 degrees two-theta, sorted by position)
(hkl), 2θ (°), d (Å), I/Imax
0 4 0, 29.43, 3.035, 58
0 0 4, 30.38, 2.943, 58
1 1 3, 34.11, 2.629, 95
1 3 2, 36.25, 2.478, 100
1 1 4, 39.83, 2.263, 64
2 0 0, 49.26, 1.850, 51

Structure:
```
data_NpNi5Ge3
_cell_length_a 3.6996
_cell_length_b 12.1497
_cell_length_c 11.7765
_cell_angle_alpha 90.00
_cell_angle_beta 90.00
_cell_angle_gamma 90.00
_symmetry_space_group_name_H-M 'C m c m'
_symmetry_Int_Tables_number 63
_symmetry_space_group_name_Hall '-C 2c 2'
loop_
_atom_site_label
_atom_site_fract_x
_atom_site_fract_y
_atom_site_fract_z
Np1 0.0000 0.1550 0.2500
Ni1 0.0000 0.0000 0.0000
Ni2 0.0000 0.1940 0.5632
Ni3 0.0000 0.4455 0.1438
Ge1 0.0000 0.1203 0.7500
Ge2 0.0000 0.3810 0.5488
```

(4)
This entry pairs a crystal structure of Np2Si3Ni4Ge with its theoretical powder X-ray diffraction pattern. Radiation: Cu Ka. Structure: a cell relaxed with GGA-PBE.
Kinematic intensities with the Lorentz-polarization factor, no thermal factor.

Peak list (6 most intense, 15 to 90 degrees two-theta, sorted by position)
(hkl), 2θ (°), d (Å), I/Imax
1 0 1, 24.10, 3.693, 62
1 1 0, 31.55, 2.836, 26
1 0 3, 36.21, 2.481, 73
1 1 2, 36.95, 2.433, 100
2 0 0, 45.22, 2.005, 44
2 1 3, 59.25, 1.559, 35

Structure:
```
data_Np2Si3Ni4Ge
_cell_length_a 4.0104
_cell_length_b 4.0104
_cell_length_c 9.4731
_cell_angle_alpha 90.00
_cell_angle_beta 90.00
_cell_angle_gamma 90.00
_symmetry_space_group_name_H-M 'P -4 m 2'
_symmetry_Int_Tables_number 115
_symmetry_space_group_name_Hall 'P -4 -2'
loop_
_atom_site_label
_atom_site_fract_x
_atom_site_fract_y
_atom_site_fract_z
Np1 0.0000 0.5000 0.2464
Si1 0.0000 0.5000 0.8712
Si2 0.5000 0.5000 0.5000
Ni1 0.0000 0.0000 0.0000
Ni2 0.0000 0.5000 0.6289
Ni3 0.5000 0.5000 0.0000
Ge1 0.0000 0.0000 0.5000
```